This entry pairs a crystal structure of Rb3TiTe4 with its calculated powder diffractogram. Radiation: a wavelength of 1.5418 Å. Structure: a DFT-relaxed cell (GGA-PBE, Alexandria).

Cell and atoms:
a b c (Å): 9.112 9.112 9.112
angles (deg): 137.95 65.93 131.70
Sites, in units of the cell vectors:
Rb 0.000 0.000 0.000
Rb 0.169 0.883 0.286
Rb 0.597 0.883 0.714
Ti 0.716 0.216 0.500
Te 0.046 0.400 0.646
Te 0.455 0.221 0.765
Te 0.455 0.690 0.235
Te 0.754 0.400 0.354

Top 6 peaks for 10° ≤ 2θ ≤ 90°, in order of falling intensity:
2θ (°), d [Å], I_rel
30.42, 2.938, 100
23.87, 3.728, 94
22.12, 4.019, 92
32.76, 2.733, 77
51.81, 1.765, 75
29.60, 3.017, 71

This entry pairs a crystal structure of Rb6TiTe4 with its calculated powder diffractogram. Radiation: a wavelength of 1.5418 Å. Structure: a DFT-relaxed cell (GGA-PBE, Alexandria).

Cell and atoms:
a b c (Å): 11.486 11.486 8.850
angles (deg): 90.00 90.00 120.00
Sites, in units of the cell vectors:
Rb 0.056 0.528 0.000
Rb 0.142 0.285 0.682
Rb 0.142 0.858 0.682
Rb 0.285 0.142 0.182
Rb 0.472 0.528 0.000
Rb 0.472 0.944 0.000
Rb 0.528 0.056 0.500
Rb 0.528 0.472 0.500
Rb 0.715 0.858 0.682
Rb 0.858 0.142 0.182
Rb 0.858 0.715 0.182
Rb 0.944 0.472 0.500
Ti 0.333 0.667 0.388
Ti 0.667 0.333 0.888
Te 0.200 0.400 0.289
Te 0.200 0.800 0.289
Te 0.333 0.667 0.704
Te 0.400 0.200 0.789
Te 0.600 0.800 0.289
Te 0.667 0.333 0.204
Te 0.800 0.200 0.789
Te 0.800 0.600 0.789

Top 6 peaks for 10° ≤ 2θ ≤ 90°, in order of falling intensity:
2θ (°), d [Å], I_rel
26.96, 3.307, 100
31.17, 2.870, 95
25.75, 3.460, 68
28.75, 3.105, 56
50.57, 1.805, 29
31.63, 2.828, 25

This entry pairs a crystal structure of RbU3TiTe9 with its calculated powder diffractogram. Radiation: a wavelength of 1.5418 Å. Structure: a DFT-relaxed cell (GGA-PBE, Alexandria).

Cell and atoms:
a b c (Å): 8.358 6.164 17.417
angles (deg): 90.00 96.84 90.00
Sites, in units of the cell vectors:
Rb 0.033 0.250 0.131
Rb 0.967 0.750 0.869
U 0.100 0.750 0.404
U 0.397 0.250 0.592
U 0.453 0.250 0.811
U 0.547 0.750 0.189
U 0.603 0.750 0.408
U 0.900 0.250 0.596
Ti 0.500 0.000 0.000
Ti 0.500 0.500 0.000
Te 0.112 0.250 0.461
Te 0.180 0.001 0.700
Te 0.180 0.499 0.700
Te 0.234 0.250 0.938
Te 0.265 0.750 0.062
Te 0.331 0.501 0.301
Te 0.331 0.999 0.301
Te 0.380 0.750 0.536
Te 0.466 0.750 0.863
Te 0.534 0.250 0.137
Te 0.620 0.250 0.464
Te 0.669 0.001 0.699
Te 0.669 0.499 0.699
Te 0.735 0.250 0.938
Te 0.766 0.750 0.062
Te 0.820 0.501 0.300
Te 0.820 0.999 0.300
Te 0.888 0.750 0.539

Top 6 peaks for 10° ≤ 2θ ≤ 90°, in order of falling intensity:
2θ (°), d [Å], I_rel
27.96, 3.191, 100
37.07, 2.425, 66
34.90, 2.571, 40
43.30, 2.089, 30
34.35, 2.611, 28
31.63, 2.829, 26

This entry pairs a crystal structure of Rb3Zr3TiTe8 with its calculated powder diffractogram. Radiation: a wavelength of 1.5418 Å. Structure: a DFT-relaxed cell (GGA-PBE, Alexandria).

Cell and atoms:
a b c (Å): 10.108 10.108 10.108
angles (deg): 47.95 47.95 47.95
Sites, in units of the cell vectors:
Rb 0.000 0.500 0.500
Rb 0.500 0.000 0.500
Rb 0.500 0.500 0.000
Zr 0.000 0.000 0.500
Zr 0.000 0.500 0.000
Zr 0.500 0.000 0.000
Ti 0.500 0.500 0.500
Te 0.232 0.232 0.232
Te 0.236 0.727 0.727
Te 0.273 0.273 0.764
Te 0.273 0.764 0.273
Te 0.727 0.236 0.727
Te 0.727 0.727 0.236
Te 0.764 0.273 0.273
Te 0.768 0.768 0.768

Top 6 peaks for 10° ≤ 2θ ≤ 90°, in order of falling intensity:
2θ (°), d [Å], I_rel
28.42, 3.141, 100
44.10, 2.053, 34
36.87, 2.438, 30
34.43, 2.605, 18
53.30, 1.719, 17
45.13, 2.009, 14

This entry pairs a crystal structure of Rb3TlTe3 with its calculated powder diffractogram. Radiation: a wavelength of 1.5418 Å. Structure: a DFT-relaxed cell (GGA-PBE, Alexandria).

Cell and atoms:
a b c (Å): 10.364 9.083 14.252
angles (deg): 90.00 99.11 90.00
Sites, in units of the cell vectors:
Rb 0.087 0.182 0.116
Rb 0.087 0.318 0.616
Rb 0.290 0.732 0.782
Rb 0.290 0.768 0.282
Rb 0.403 0.238 0.918
Rb 0.403 0.262 0.418
Rb 0.597 0.738 0.582
Rb 0.597 0.762 0.082
Rb 0.710 0.232 0.718
Rb 0.710 0.268 0.218
Rb 0.913 0.682 0.384
Rb 0.913 0.818 0.884
Tl 0.183 0.583 0.044
Tl 0.183 0.917 0.544
Tl 0.817 0.083 0.456
Tl 0.817 0.417 0.956
Te 0.066 0.072 0.370
Te 0.066 0.428 0.870
Te 0.253 0.618 0.516
Te 0.253 0.882 0.016
Te 0.384 0.076 0.660
Te 0.384 0.424 0.160
Te 0.616 0.576 0.840
Te 0.616 0.924 0.340
Te 0.747 0.118 0.984
Te 0.747 0.382 0.484
Te 0.934 0.572 0.130
Te 0.934 0.928 0.630

Top 6 peaks for 10° ≤ 2θ ≤ 90°, in order of falling intensity:
2θ (°), d [Å], I_rel
27.94, 3.193, 100
33.93, 2.642, 87
11.60, 7.632, 72
27.30, 3.266, 59
33.11, 2.706, 43
12.58, 7.036, 39

This entry pairs a crystal structure of Rb4Tl5Te6 with its calculated powder diffractogram. Radiation: a wavelength of 1.5418 Å. Structure: a DFT-relaxed cell (GGA-PBE, Alexandria).

Cell and atoms:
a b c (Å): 12.588 12.588 18.340
angles (deg): 90.00 90.00 154.15
Sites, in units of the cell vectors:
Rb 0.020 0.980 0.500
Rb 0.035 0.965 0.760
Rb 0.160 0.840 0.309
Rb 0.165 0.835 0.947
Rb 0.835 0.165 0.447
Rb 0.840 0.160 0.809
Rb 0.965 0.035 0.260
Rb 0.980 0.020 0.000
Tl 0.165 0.835 0.627
Tl 0.322 0.678 0.622
Tl 0.328 0.672 0.280
Tl 0.336 0.664 0.972
Tl 0.459 0.541 0.663
Tl 0.541 0.459 0.163
Tl 0.664 0.336 0.472
Tl 0.672 0.328 0.780
Tl 0.678 0.322 0.122
Tl 0.835 0.165 0.127
Te 0.099 0.901 0.129
Te 0.240 0.760 0.484
Te 0.247 0.753 0.767
Te 0.410 0.590 0.128
Te 0.441 0.559 0.395
Te 0.449 0.551 0.850
Te 0.551 0.449 0.350
Te 0.559 0.441 0.895
Te 0.590 0.410 0.628
Te 0.753 0.247 0.267
Te 0.760 0.240 0.984
Te 0.901 0.099 0.629

Top 6 peaks for 10° ≤ 2θ ≤ 90°, in order of falling intensity:
2θ (°), d [Å], I_rel
28.19, 3.165, 100
33.49, 2.676, 78
31.79, 2.815, 65
21.76, 4.085, 39
27.35, 3.261, 34
29.22, 3.057, 29

This entry pairs a crystal structure of RbTl3Te2 with its calculated powder diffractogram. Radiation: a wavelength of 1.5418 Å. Structure: a DFT-relaxed cell (GGA-PBE, Alexandria).

Cell and atoms:
a b c (Å): 10.496 10.496 10.496
angles (deg): 153.30 109.95 76.43
Sites, in units of the cell vectors:
Rb 0.121 0.121 0.000
Rb 0.879 0.879 0.000
Tl 0.128 0.319 0.809
Tl 0.365 0.000 0.365
Tl 0.490 0.681 0.809
Tl 0.510 0.319 0.191
Tl 0.635 0.000 0.635
Tl 0.872 0.681 0.191
Te 0.188 0.500 0.688
Te 0.306 0.806 0.500
Te 0.694 0.194 0.500
Te 0.812 0.500 0.312

Top 6 peaks for 10° ≤ 2θ ≤ 90°, in order of falling intensity:
2θ (°), d [Å], I_rel
30.88, 2.896, 100
28.68, 3.113, 49
53.41, 1.715, 49
24.18, 3.681, 44
37.09, 2.424, 36
32.57, 2.749, 30

This entry pairs a crystal structure of RbTl3Te with its calculated powder diffractogram. Radiation: a wavelength of 1.5418 Å. Structure: a DFT-relaxed cell (GGA-PBE, Alexandria).

Cell and atoms:
a b c (Å): 6.435 6.435 6.435
angles (deg): 90.00 90.00 90.00
Sites, in units of the cell vectors:
Rb 0.000 0.000 0.000
Tl 0.000 0.500 0.500
Tl 0.500 0.000 0.500
Tl 0.500 0.500 0.000
Te 0.500 0.500 0.500

Top 6 peaks for 10° ≤ 2θ ≤ 90°, in order of falling intensity:
2θ (°), d [Å], I_rel
27.73, 3.218, 100
23.95, 3.715, 91
39.61, 2.275, 78
46.82, 1.940, 47
13.76, 6.435, 44
64.79, 1.439, 37